No. 1
This entry pairs a crystal structure of RbAg2RhCl6 with its computed X-ray diffraction stick pattern. Radiation: CuKα. Structure: a PBE-relaxed structure.

Structural model:
Cell: 6.997 7.005 7.420 Å, 90.01 118.09 119.85°
Space group P1 (No. 1)
Symmetry-distinct sites (fractional):
Rb1 0.000 0.000 0.000 x1
Ag1 0.547 0.273 0.819 x1
Ag2 0.597 0.801 0.398 x1
Rh1 0.966 0.483 0.447 x1
Cl1 0.099 0.455 0.217 x1
Cl2 0.122 0.275 0.660 x1
Cl3 0.385 0.845 0.660 x1
Cl4 0.574 0.121 0.219 x1
Cl5 0.765 0.648 0.220 x1
Cl6 0.817 0.540 0.662 x1

Largest 10 diffraction maxima, by intensity, 2θ from 5° to 70°:
d (Å)	2θ (°)	I_rel
3.702	24.04	100
3.503	25.42	85
2.326	38.72	39
5.089	17.43	37
2.545	35.27	37
2.331	38.62	33
2.057	44.03	32
2.024	44.78	31
2.063	43.88	16
1.788	51.09	16

***

No. 2
This entry pairs a crystal structure of Cs2LiU3S8 with its computed X-ray diffraction stick pattern. Radiation: CuKα. Structure: a PBE-relaxed structure.

Structural model:
Cell: 7.9981 7.9981 25.6247 Å, 90.00 90.00 120.00°
Space group R3m (No. 160, hexagonal axes)
Symmetry-distinct sites (fractional):
Cs1 0.0000 0.0000 0.0000 x3
Cs2 0.0000 0.0000 0.3533 x3
Li1 0.0000 0.0000 0.8420 x3
U1 0.1679 0.3358 0.1862 x9
S1 0.0000 0.0000 0.1315 x3
S2 0.0000 0.0000 0.5759 x3
S3 0.0165 0.5082 0.1308 x9
S4 0.1751 0.3501 0.9074 x9

Largest 10 diffraction maxima, by intensity, 2θ from 5° to 70°:
d (Å)	2θ (°)	I_rel
8.542	10.36	100
3.047	29.32	69
3.622	24.58	58
6.687	13.24	48
2.516	35.69	43
3.432	25.96	39
4.271	20.80	38
2.000	45.36	36
2.352	38.28	34
3.343	26.66	30

***

No. 3
This entry pairs a crystal structure of TbPmScZn with its computed X-ray diffraction stick pattern. Radiation: CuKα. Structure: a PBE-relaxed structure.

Structural model:
Cell: 3.497 3.497 8.513 Å, 90.00 90.00 90.00°
Space group P4mm (No. 99)
Symmetry-distinct sites (fractional):
Tb1 0.000 0.000 0.000 x1
Pm1 0.500 0.500 0.313 x1
Sc1 0.000 0.000 0.598 x1
Zn1 0.500 0.500 0.772 x1

Largest 10 diffraction maxima, by intensity, 2θ from 5° to 70°:
d (Å)	2θ (°)	I_rel
2.702	33.15	100
2.473	36.33	47
3.235	27.57	40
1.468	63.35	30
1.864	48.85	18
1.749	52.32	16
8.513	10.39	16
2.838	31.53	15
1.531	60.48	12
1.613	57.10	11

***

No. 4
This entry pairs a crystal structure of IrC3 with its computed X-ray diffraction stick pattern. Radiation: CuKα. Structure: a PBE-relaxed structure.

Structural model:
Cell: 2.610 6.619 8.447 Å, 90.00 90.00 90.00°
Space group Fmm2 (No. 42)
Symmetry-distinct sites (fractional):
Ir1 0.000 0.000 0.000 x4
C1 0.000 0.000 0.310 x4
C2 0.000 0.188 0.204 x8

Largest 10 diffraction maxima, by intensity, 2θ from 5° to 70°:
d (Å)	2θ (°)	I_rel
2.333	38.58	100
4.223	21.03	82
2.605	34.43	73
3.309	26.94	61
1.839	49.58	51
1.653	55.60	42
1.446	64.45	27
1.780	51.32	22
2.112	42.82	21
1.387	67.55	20

***

No. 5
This entry pairs a crystal structure of Er4CuTeSe2 with its computed X-ray diffraction stick pattern. Radiation: CuKα. Structure: a PBE-relaxed structure.

Structural model:
Cell: 7.177 3.995 7.247 Å, 90.00 108.05 90.00°
Space group P2/m (No. 10)
Symmetry-distinct sites (fractional):
Er1 0.228 0.000 0.241 x2
Er2 0.228 0.500 0.741 x2
Cu1 0.000 0.000 0.500 x1
Te1 0.500 0.500 0.500 x1
Se1 0.000 0.500 0.000 x1
Se2 0.500 0.000 0.000 x1

Largest 10 diffraction maxima, by intensity, 2θ from 5° to 70°:
d (Å)	2θ (°)	I_rel
2.907	30.76	100
2.918	30.64	51
2.067	43.81	39
2.052	44.13	35
2.118	42.69	19
1.648	55.77	19
1.998	45.40	18
3.297	27.05	13
1.723	53.17	12
1.453	64.07	11

***

No. 6
This entry pairs a crystal structure of Si5Ni3 with its computed X-ray diffraction stick pattern. Radiation: CuKα. Structure: a PBE-relaxed structure.

Structural model:
Cell: 6.304 11.598 6.322 Å, 90.00 112.21 90.00°
Space group Cm (No. 8)
Symmetry-distinct sites (fractional):
Si1 0.000 0.000 0.000 x2
Si2 0.000 0.500 0.020 x2
Si3 0.008 0.323 0.810 x4
Si4 0.164 0.315 0.225 x4
Si5 0.270 0.105 0.374 x4
Si6 0.430 0.395 0.639 x4
Ni1 0.100 0.500 0.686 x2
Ni2 0.167 0.249 0.571 x4
Ni3 0.245 0.159 0.000 x4
Ni4 0.382 0.500 0.305 x2

Largest 10 diffraction maxima, by intensity, 2θ from 5° to 70°:
d (Å)	2θ (°)	I_rel
2.607	34.40	100
3.223	27.68	99
1.900	47.88	76
3.111	28.70	76
1.944	46.73	76
3.025	29.53	74
3.369	26.46	73
2.127	42.50	70
1.849	49.28	69
1.797	50.82	67

***

No. 7
This entry pairs a crystal structure of TbSm3Hg2C with its computed X-ray diffraction stick pattern. Radiation: CuKα. Structure: a PBE-relaxed structure.

Structural model:
Cell: 4.953 5.070 15.076 Å, 90.00 90.00 90.00°
Space group Immm (No. 71)
Symmetry-distinct sites (fractional):
Tb1 0.000 0.000 0.000 x2
Sm1 0.000 0.000 0.500 x2
Sm2 0.000 0.500 0.333 x4
Hg1 0.000 0.500 0.130 x4
C1 0.000 0.500 0.500 x2

Largest 10 diffraction maxima, by intensity, 2θ from 5° to 70°:
d (Å)	2θ (°)	I_rel
2.581	34.76	100
3.206	27.82	50
2.535	35.41	31
2.476	36.28	29
1.449	64.31	27
3.543	25.14	24
1.771	51.59	22
1.473	63.13	18
2.513	35.73	14
2.592	34.61	11

***

No. 8
This entry pairs a crystal structure of Pm3YTm2 with its computed X-ray diffraction stick pattern. Radiation: CuKα. Structure: a PBE-relaxed structure.

Structural model:
Cell: 6.215 3.595 17.553 Å, 90.00 96.83 90.00°
Space group P2_1/m (No. 11)
Symmetry-distinct sites (fractional):
Pm1 0.026 0.250 0.332 x2
Pm2 0.139 0.750 0.165 x2
Pm3 0.253 0.750 0.503 x2
Y1 0.363 0.750 0.834 x2
Tm1 0.251 0.250 0.000 x2
Tm2 0.476 0.250 0.668 x2

Largest 10 diffraction maxima, by intensity, 2θ from 5° to 70°:
d (Å)	2θ (°)	I_rel
2.809	31.86	100
2.905	30.78	87
2.982	29.97	86
2.673	33.52	80
1.528	60.62	76
1.796	50.84	64
2.461	36.52	54
3.026	29.52	43
2.872	31.15	34
2.603	34.46	25

***

No. 9
This entry pairs a crystal structure of Na6AgSn with its computed X-ray diffraction stick pattern. Radiation: CuKα. Structure: a PBE-relaxed structure.

Structural model:
Cell: 6.080 6.071 6.082 Å, 90.00 90.33 90.00°
Space group P2/m (No. 10)
Symmetry-distinct sites (fractional):
Na1 0.000 0.000 0.248 x2
Na2 0.252 0.500 0.999 x2
Na3 0.500 0.248 0.500 x2
Ag1 0.000 0.500 0.500 x1
Sn1 0.500 0.000 0.000 x1

Largest 10 diffraction maxima, by intensity, 2θ from 5° to 70°:
d (Å)	2θ (°)	I_rel
4.300	20.66	100
2.485	36.14	69
2.477	36.26	68
3.039	29.39	60
1.622	56.76	36
4.288	20.72	20
1.921	47.33	19
1.628	56.52	19
1.625	56.63	18
2.147	42.08	16

***

No. 10
This entry pairs a crystal structure of CrHS with its computed X-ray diffraction stick pattern. Radiation: CuKα. Structure: a PBE-relaxed structure.

Structural model:
Cell: 3.0121 3.0121 11.3234 Å, 90.00 90.00 120.00°
Space group R3m (No. 160, hexagonal axes)
Symmetry-distinct sites (fractional):
Cr1 0.0000 0.0000 0.0000 x3
H1 0.0000 0.0000 0.2880 x3
S1 0.0000 0.0000 0.7926 x3

Largest 9 diffraction maxima, by intensity, 2θ from 5° to 70°:
d (Å)	2θ (°)	I_rel
2.542	35.31	100
1.918	47.39	48
1.710	53.59	40
3.774	23.57	30
1.506	61.58	27
2.369	37.98	15
1.887	48.22	11
1.399	66.89	8
1.375	68.22	1

***

No. 11
This entry pairs a crystal structure of Na2NdSi2O6 with its computed X-ray diffraction stick pattern. Radiation: CuKα. Structure: a PBE-relaxed structure.

Structural model:
Cell: 5.6671 5.6671 7.3885 Å, 90.00 90.00 120.00°
Space group P-3 (No. 147)
Symmetry-distinct sites (fractional):
Na1 0.3333 0.6667 0.3001 x2
Nd1 0.0000 0.0000 0.0000 x1
Si1 0.3333 0.6667 0.7862 x2
O1 0.0680 0.6956 0.8122 x6

Largest 10 diffraction maxima, by intensity, 2θ from 5° to 70°:
d (Å)	2θ (°)	I_rel
7.388	11.98	100
4.088	21.74	97
2.952	30.28	81
2.834	31.57	38
2.646	33.88	30
2.044	44.31	26
1.658	55.43	25
4.908	18.07	24
2.329	38.66	22
1.799	50.74	21

***

No. 12
This entry pairs a crystal structure of Nd5PbAu2 with its computed X-ray diffraction stick pattern. Radiation: CuKα. Structure: a PBE-relaxed structure.

Structural model:
Cell: 8.383 8.383 13.595 Å, 90.00 90.00 90.00°
Space group I4/mcm (No. 140)
Symmetry-distinct sites (fractional):
Nd1 0.000 0.000 0.000 x4
Nd2 0.156 0.344 0.143 x16
Pb1 0.000 0.000 0.250 x4
Au1 0.135 0.365 0.500 x8

Largest 10 diffraction maxima, by intensity, 2θ from 5° to 70°:
d (Å)	2θ (°)	I_rel
2.889	30.96	100
2.651	33.81	64
1.472	63.14	21
2.640	33.96	20
1.481	62.74	15
2.201	41.01	15
1.431	65.21	14
2.948	30.31	12
4.468	19.87	11
2.964	30.15	11

***

No. 13
This entry pairs a crystal structure of NpZn12 with its computed X-ray diffraction stick pattern. Radiation: CuKα. Structure: a PBE-relaxed structure.

Structural model:
Cell: 8.868 8.868 5.254 Å, 90.00 90.00 90.00°
Space group I4/mmm (No. 139)
Symmetry-distinct sites (fractional):
Np1 0.000 0.000 0.000 x2
Zn1 0.000 0.216 0.500 x8
Zn2 0.000 0.353 0.000 x8
Zn3 0.250 0.250 0.250 x8

Largest 10 diffraction maxima, by intensity, 2θ from 5° to 70°:
d (Å)	2θ (°)	I_rel
2.227	40.50	100
2.260	39.89	72
2.576	34.83	52
2.217	40.70	51
3.165	28.19	37
1.427	65.42	24
2.014	45.02	19
2.627	34.13	18
2.804	31.91	16
6.270	14.12	15